No. 1
Computed X-ray powder pattern
Compound: Li6Fe5CoO12
Radiation: Cu Kα (weighted mean of Kα1 and Kα2)
Structure: a GGA+U-relaxed structure

Top 10 peaks for 2θ from 10° to 90°, sorted by position:
two_theta	d [Å]	I (rel.)	hkl
17.75	4.998	1000	0 0 2
35.68	2.516	101	2 0 0
35.81	2.507	211	1 3 -1
37.14	2.421	171	1 3 1
42.52	2.126	109	2 0 2
43.15	2.096	202	1 3 -3
46.51	1.952	237	1 3 3
47.39	1.918	106	2 0 -4
56.43	1.631	123	1 3 -5
63.30	1.469	128	3 3 -1

Structural model:
```
data_Li6Fe5CoO12
_cell_length_a 5.087
_cell_length_b 8.833
_cell_length_c 10.103
_cell_angle_alpha 90.00
_cell_angle_beta 98.39
_cell_angle_gamma 90.00
_symmetry_space_group_name_H-M 'C 1 2/m 1'
_symmetry_Int_Tables_number 12
loop_
_symmetry_equiv_pos_as_xyz
'x,y,z'
'-x,-y,-z'
'-x,y,-z'
'x,-y,z'
'x+1/2,y+1/2,z'
'-x+1/2,-y+1/2,-z'
'-x+1/2,y+1/2,-z'
'x+1/2,-y+1/2,z'
loop_
_atom_site_label
_atom_site_fract_x
_atom_site_fract_y
_atom_site_fract_z
Li1 0.104 0.162 0.258
Li2 0.120 0.500 0.258
Fe1 0.000 0.167 0.000
Fe2 0.000 0.333 0.500
Fe3 0.000 0.500 0.000
Co1 0.000 0.000 0.500
O1 0.129 0.000 0.885
O2 0.130 0.333 0.885
O3 0.191 0.161 0.610
O4 0.209 0.500 0.609
```

---

No. 2
Computed X-ray powder pattern
Compound: V3O8
Radiation: Cu Kα (weighted mean of Kα1 and Kα2)
Structure: a GGA+U-relaxed structure

Top 10 peaks for 2θ from 10° to 90°, sorted by position:
two_theta	d [Å]	I (rel.)	hkl
18.94	4.685	788	0 0 1
20.36	4.363	230	2 0 -1
24.93	3.572	1000	1 1 0
25.58	3.483	239	4 0 -1
28.64	3.117	274	6 0 0
31.77	2.816	313	1 1 1
34.38	2.608	280	5 1 0
38.39	2.345	153	0 0 2
46.75	1.943	188	1 1 2
50.13	1.820	193	0 2 0

Structural model:
```
data_V3O8
_cell_length_a 18.791
_cell_length_b 3.639
_cell_length_c 4.710
_cell_angle_alpha 90.00
_cell_angle_beta 95.54
_cell_angle_gamma 90.00
_symmetry_space_group_name_H-M 'C 1 2/m 1'
_symmetry_Int_Tables_number 12
loop_
_symmetry_equiv_pos_as_xyz
'x,y,z'
'-x,-y,-z'
'-x,y,-z'
'x,-y,z'
'x+1/2,y+1/2,z'
'-x+1/2,-y+1/2,-z'
'-x+1/2,y+1/2,-z'
'x+1/2,-y+1/2,z'
loop_
_atom_site_label
_atom_site_fract_x
_atom_site_fract_y
_atom_site_fract_z
V1 0.000 0.000 0.000
V2 0.187 0.000 0.870
O1 0.025 0.000 0.402
O2 0.095 0.000 0.956
O3 0.183 0.000 0.526
O4 0.208 0.500 0.968
```

---

No. 3
Computed X-ray powder pattern
Compound: Li2Co2C3O9
Radiation: Cu Kα (weighted mean of Kα1 and Kα2)
Structure: a GGA+U-relaxed structure

Top 10 peaks for 2θ from 10° to 90°, sorted by position:
two_theta	d [Å]	I (rel.)	hkl
14.09	6.286	1000	1 0 0
14.55	6.088	623	1 0 -1
14.75	6.004	361	1 -1 0
20.14	4.408	519	1 1 -1
20.46	4.341	959	-1 1 1
31.85	2.810	271	2 1 -1
32.19	2.781	490	1 -1 2
38.98	2.311	533	2 1 -3
39.40	2.287	358	1 -3 2
53.38	1.716	315	-2 3 2

Structural model:
```
data_Li2Co2C3O9
_cell_length_a 7.442
_cell_length_b 7.460
_cell_length_c 7.513
_cell_angle_alpha 108.91
_cell_angle_beta 108.99
_cell_angle_gamma 107.37
_symmetry_space_group_name_H-M 'P 1'
_symmetry_Int_Tables_number 1
loop_
_symmetry_equiv_pos_as_xyz
'x,y,z'
loop_
_atom_site_label
_atom_site_fract_x
_atom_site_fract_y
_atom_site_fract_z
Li1 0.000 0.000 0.000
Li2 0.031 0.274 0.563
Li3 0.256 0.532 0.044
Li4 0.533 0.994 0.239
Co1 0.310 0.803 0.697
Co2 0.423 0.398 0.431
Co3 0.692 0.303 0.813
Co4 0.808 0.686 0.314
C1 0.036 0.434 0.265
C2 0.252 0.033 0.447
C3 0.443 0.251 0.041
C4 0.597 0.681 0.926
C5 0.672 0.904 0.593
C6 0.918 0.594 0.692
O1 0.063 0.788 0.797
O2 0.090 0.487 0.464
O3 0.147 0.862 0.450
O4 0.150 0.375 0.184
O5 0.164 0.147 0.403
O6 0.394 0.167 0.154
O7 0.448 0.139 0.871
O8 0.451 0.092 0.487
O9 0.459 0.753 0.948
O10 0.487 0.450 0.097
O11 0.498 0.744 0.536
O12 0.533 0.502 0.763
O13 0.737 0.921 0.452
O14 0.754 0.533 0.516
O15 0.783 0.053 0.788
O16 0.794 0.786 0.069
O17 0.868 0.441 0.149
O18 0.940 0.457 0.763
```

---

No. 4
Computed X-ray powder pattern
Compound: Ba3V4PbO14
Radiation: Cu Kα (weighted mean of Kα1 and Kα2)
Structure: a GGA+U-relaxed structure

Top 10 peaks for 2θ from 10° to 90°, sorted by position:
two_theta	d [Å]	I (rel.)	hkl
23.91	3.721	481	0 2 -1
24.06	3.699	433	0 2 0
24.31	3.662	353	1 1 -3
25.28	3.524	983	2 0 1
26.40	3.376	392	1 -2 0
26.69	3.340	1000	0 0 4
27.07	3.295	447	1 2 -1
30.33	2.947	473	2 0 -3
31.13	2.873	413	-1 2 2
40.27	2.239	368	-1 2 4

Structural model:
```
data_Ba3V4PbO14
_cell_length_a 7.454
_cell_length_b 7.507
_cell_length_c 13.568
_cell_angle_alpha 99.41
_cell_angle_beta 93.24
_cell_angle_gamma 92.09
_symmetry_space_group_name_H-M 'P -1'
_symmetry_Int_Tables_number 2
loop_
_symmetry_equiv_pos_as_xyz
'x,y,z'
'-x,-y,-z'
loop_
_atom_site_label
_atom_site_fract_x
_atom_site_fract_y
_atom_site_fract_z
Ba1 0.079 0.335 0.341
Ba2 0.230 0.757 0.159
Ba3 0.338 0.292 0.639
V1 0.157 0.814 0.421
V2 0.177 0.206 0.084
V3 0.235 0.418 0.892
V4 0.435 0.813 0.618
Pb1 0.350 0.885 0.872
O1 0.005 0.115 0.142
O2 0.012 0.323 0.544
O3 0.064 0.957 0.350
O4 0.091 0.434 0.792
O5 0.099 0.300 0.974
O6 0.285 0.370 0.169
O7 0.287 0.669 0.346
O8 0.299 0.671 0.674
O9 0.299 0.927 0.531
O10 0.313 0.631 0.953
O11 0.330 0.036 0.051
O12 0.400 0.304 0.442
O13 0.405 0.290 0.846
O14 0.477 0.019 0.289
```

---

No. 5
Computed X-ray powder pattern
Compound: LiMnO2
Radiation: Cu Kα (weighted mean of Kα1 and Kα2)
Structure: a GGA+U-relaxed structure

Top 10 peaks for 2θ from 10° to 90°, sorted by position:
two_theta	d [Å]	I (rel.)	hkl
12.39	7.144	419	0 0 1
18.00	4.929	332	0 1 0
18.25	4.860	651	1 0 -1
22.21	4.002	212	1 -1 0
26.06	3.419	139	1 0 1
35.15	2.553	236	0 2 -1
42.40	2.132	1000	2 -1 1
43.26	2.092	481	1 2 -2
61.20	1.514	266	-3 2 2
62.16	1.493	263	1 -3 3

Structural model:
```
data_LiMnO2
_cell_length_a 5.199
_cell_length_b 5.217
_cell_length_c 7.824
_cell_angle_alpha 101.11
_cell_angle_beta 108.44
_cell_angle_gamma 100.97
_symmetry_space_group_name_H-M 'P -1'
_symmetry_Int_Tables_number 2
loop_
_symmetry_equiv_pos_as_xyz
'x,y,z'
'-x,-y,-z'
loop_
_atom_site_label
_atom_site_fract_x
_atom_site_fract_y
_atom_site_fract_z
Li1 0.000 0.000 0.000
Li2 0.223 0.126 0.730
Li3 0.400 0.712 0.907
Mn1 0.000 0.500 0.500
Mn2 0.195 0.595 0.190
Mn3 0.390 0.189 0.393
O1 0.001 0.716 0.737
O2 0.173 0.367 0.960
O3 0.177 0.813 0.424
O4 0.384 0.919 0.153
O5 0.437 0.449 0.667
```

---

No. 6
Computed X-ray powder pattern
Compound: Ca2Mn2O5
Radiation: Cu Kα (weighted mean of Kα1 and Kα2)
Structure: a GGA+U-relaxed structure

Top 10 peaks for 2θ from 10° to 90°, sorted by position:
two_theta	d [Å]	I (rel.)	hkl
19.90	4.461	99	1 0 1
31.98	2.798	1000	2 1 1
33.01	2.714	139	0 2 0
33.90	2.644	118	0 0 2
43.59	2.076	132	4 0 0
48.04	1.894	255	0 2 2
55.74	1.649	97	4 2 0
58.29	1.583	158	2 3 1
59.45	1.555	160	2 1 3
66.87	1.399	89	4 2 2

Structural model:
```
data_Ca2Mn2O5
_cell_length_a 8.305
_cell_length_b 5.427
_cell_length_c 5.289
_cell_angle_alpha 90.00
_cell_angle_beta 90.00
_cell_angle_gamma 90.00
_symmetry_space_group_name_H-M 'P m n 21'
_symmetry_Int_Tables_number 31
loop_
_symmetry_equiv_pos_as_xyz
'x,y,z'
'-x+1/2,-y,z+1/2'
'-x,y,z'
'x+1/2,-y,z+1/2'
loop_
_atom_site_label
_atom_site_fract_x
_atom_site_fract_y
_atom_site_fract_z
Ca1 0.000 0.202 0.000
Ca2 0.000 0.713 0.424
Mn1 0.230 0.751 0.955
O1 0.000 0.791 0.839
O2 0.189 0.470 0.189
O3 0.189 0.974 0.252
```

---

No. 7
Computed X-ray powder pattern
Compound: Li4V7P6O24
Radiation: Cu Kα (weighted mean of Kα1 and Kα2)
Structure: a GGA+U-relaxed structure

Top 10 peaks for 2θ from 10° to 90°, sorted by position:
two_theta	d [Å]	I (rel.)	hkl
12.37	7.155	338	0 2 0
13.70	6.465	1000	0 0 1
18.50	4.797	227	0 2 1
20.37	4.359	184	1 3 0
23.48	3.789	182	1 3 -1
30.34	2.946	269	0 2 2
31.25	2.862	580	3 3 0
32.86	2.725	497	1 3 -2
40.35	2.235	137	3 5 0
53.19	1.722	167	3 5 2

Structural model:
```
data_Li4V7P6O24
_cell_length_a 11.058
_cell_length_b 14.310
_cell_length_c 6.660
_cell_angle_alpha 90.00
_cell_angle_beta 103.87
_cell_angle_gamma 90.00
_symmetry_space_group_name_H-M 'C 1 m 1'
_symmetry_Int_Tables_number 8
loop_
_symmetry_equiv_pos_as_xyz
'x,y,z'
'x,-y,z'
'x+1/2,y+1/2,z'
'x+1/2,-y+1/2,z'
loop_
_atom_site_label
_atom_site_fract_x
_atom_site_fract_y
_atom_site_fract_z
Li1 0.000 0.000 0.000
Li2 0.138 0.347 0.959
Li3 0.305 0.000 0.940
V1 0.075 0.186 0.680
V2 0.239 0.379 0.492
V3 0.241 0.000 0.488
V4 0.409 0.195 0.297
P1 0.045 0.500 0.523
P2 0.145 0.186 0.206
P3 0.338 0.193 0.778
P4 0.430 0.500 0.448
O1 0.031 0.000 0.325
O2 0.045 0.411 0.387
O3 0.061 0.203 0.355
O4 0.068 0.157 0.991
O5 0.180 0.500 0.677
O6 0.226 0.278 0.210
O7 0.242 0.278 0.761
O8 0.247 0.106 0.723
O9 0.247 0.108 0.275
O10 0.293 0.500 0.310
O11 0.419 0.213 0.624
O12 0.425 0.172 0.989
O13 0.435 0.414 0.594
O14 0.440 0.000 0.634
```

---

No. 8
Computed X-ray powder pattern
Compound: MgFeHO2
Radiation: Cu Kα (weighted mean of Kα1 and Kα2)
Structure: a GGA+U-relaxed structure

Top 10 peaks for 2θ from 10° to 90°, sorted by position:
two_theta	d [Å]	I (rel.)	hkl
12.40	7.138	1000	0 0 1
24.95	3.569	80	0 0 2
32.50	2.755	58	1 1 0
34.46	2.602	83	2 0 -1
34.76	2.581	93	1 1 -1
35.06	2.559	201	1 1 1
40.76	2.214	146	2 0 -2
41.66	2.168	276	1 1 2
57.79	1.595	95	3 1 0
61.57	1.506	67	1 1 -4

Structural model:
```
data_MgFeHO2
_cell_length_a 5.537
_cell_length_b 3.176
_cell_length_c 7.140
_cell_angle_alpha 90.00
_cell_angle_beta 91.42
_cell_angle_gamma 90.00
_symmetry_space_group_name_H-M 'C 1 m 1'
_symmetry_Int_Tables_number 8
loop_
_symmetry_equiv_pos_as_xyz
'x,y,z'
'x,-y,z'
'x+1/2,y+1/2,z'
'x+1/2,-y+1/2,z'
loop_
_atom_site_label
_atom_site_fract_x
_atom_site_fract_y
_atom_site_fract_z
Mg1 0.000 0.000 0.000
Fe1 0.166 0.500 0.658
H1 0.498 0.500 0.386
O1 0.326 0.000 0.854
O2 0.497 0.500 0.524
```

---

Q: Which formula does entry 4 have?
A: Ba3V4PbO14

---

What did the third record say?
Computed X-ray powder pattern
Compound: Li2Co2C3O9
Radiation: Cu Kα (weighted mean of Kα1 and Kα2)
Structure: a GGA+U-relaxed structure

Top 10 peaks for 2θ from 10° to 90°, sorted by position:
two_theta	d [Å]	I (rel.)	hkl
14.09	6.286	1000	1 0 0
14.55	6.088	623	1 0 -1
14.75	6.004	361	1 -1 0
20.14	4.408	519	1 1 -1
20.46	4.341	959	-1 1 1
31.85	2.810	271	2 1 -1
32.19	2.781	490	1 -1 2
38.98	2.311	533	2 1 -3
39.40	2.287	358	1 -3 2
53.38	1.716	315	-2 3 2

Structural model:
```
data_Li2Co2C3O9
_cell_length_a 7.442
_cell_length_b 7.460
_cell_length_c 7.513
_cell_angle_alpha 108.91
_cell_angle_beta 108.99
_cell_angle_gamma 107.37
_symmetry_space_group_name_H-M 'P 1'
_symmetry_Int_Tables_number 1
loop_
_symmetry_equiv_pos_as_xyz
'x,y,z'
loop_
_atom_site_label
_atom_site_fract_x
_atom_site_fract_y
_atom_site_fract_z
Li1 0.000 0.000 0.000
Li2 0.031 0.274 0.563
Li3 0.256 0.532 0.044
Li4 0.533 0.994 0.239
Co1 0.310 0.803 0.697
Co2 0.423 0.398 0.431
Co3 0.692 0.303 0.813
Co4 0.808 0.686 0.314
C1 0.036 0.434 0.265
C2 0.252 0.033 0.447
C3 0.443 0.251 0.041
C4 0.597 0.681 0.926
C5 0.672 0.904 0.593
C6 0.918 0.594 0.692
O1 0.063 0.788 0.797
O2 0.090 0.487 0.464
O3 0.147 0.862 0.450
O4 0.150 0.375 0.184
O5 0.164 0.147 0.403
O6 0.394 0.167 0.154
O7 0.448 0.139 0.871
O8 0.451 0.092 0.487
O9 0.459 0.753 0.948
O10 0.487 0.450 0.097
O11 0.498 0.744 0.536
O12 0.533 0.502 0.763
O13 0.737 0.921 0.452
O14 0.754 0.533 0.516
O15 0.783 0.053 0.788
O16 0.794 0.786 0.069
O17 0.868 0.441 0.149
O18 0.940 0.457 0.763
```